Simulated powder X-ray diffraction pattern of TbHoMgNi for CuKα, from the GGA-PBE geometry in Alexandria.
Neutral-atom scattering factors, no anomalous dispersion.

Cell and atoms:
a b c (Å): 3.4429 3.4429 7.8927
angles (deg): 90.00 90.00 90.00
Space group P4mm (No. 99)
Unique sites:
Tb1 0.0000 0.0000 0.0000
Ho1 0.0000 0.0000 0.5941
Mg1 0.5000 0.5000 0.2993
Ni1 0.5000 0.5000 0.7929

Principal peaks in the range 2θ = 5–70°, low angle first:
- (0 0 1), 11.21°, intensity 493
- (0 0 2), 22.53°, intensity 174
- (1 0 0), 25.88°, intensity 430
- (1 0 2), 34.57°, intensity 1000
- (1 1 0), 36.92°, intensity 555
- (1 0 3), 43.28°, intensity 348
- (1 1 2), 43.69°, intensity 127
- (1 1 3), 51.12°, intensity 115
- (2 0 0), 53.21°, intensity 193
- (2 1 2), 65.01°, intensity 414

=====

Simulated powder X-ray diffraction pattern of Pu4AgO12 for CuKα, from the GGA-PBE geometry in Alexandria.
Neutral-atom scattering factors, no anomalous dispersion.

Cell and atoms:
a b c (Å): 8.1681 8.1717 8.2107
angles (deg): 90.00 90.00 90.00
Space group Immm (No. 71)
Unique sites:
Pu1 0.2500 0.2500 0.2500
Ag1 0.0000 0.0000 0.0000
O1 0.0000 0.2556 0.2882
O2 0.2055 0.2058 0.0000
O3 0.2498 0.0000 0.2887

Principal peaks in the range 2θ = 5–70°, low angle first:
- (0 0 2), 21.65°, intensity 319
- (2 0 0), 21.76°, intensity 639
- (2 0 2), 30.91°, intensity 1000
- (2 2 2), 38.09°, intensity 176
- (4 0 0), 44.35°, intensity 189
- (0 2 4), 49.71°, intensity 147
- (4 0 2), 49.89°, intensity 291
- (2 2 4), 54.87°, intensity 150
- (4 2 2), 55.02°, intensity 298
- (4 0 4), 64.34°, intensity 113

=====

Simulated powder X-ray diffraction pattern of Zr3Sc4O12 for CuKα, from the GGA-PBE geometry in Alexandria.
Neutral-atom scattering factors, no anomalous dispersion.

Cell and atoms:
a b c (Å): 6.2286 6.2641 12.3575
angles (deg): 99.35 99.38 99.79
Space group P-1 (No. 2)
Unique sites:
Zr1 0.0067 0.0044 0.2486
Zr2 0.1389 0.6125 0.9055
Zr3 0.3153 0.1413 0.5567
Sc1 0.1371 0.6045 0.4068
Sc2 0.3244 0.1419 0.0542
Sc3 0.3932 0.6812 0.1785
Sc4 0.3957 0.6748 0.6806
O1 0.0615 0.6837 0.1998
O2 0.0648 0.6732 0.7111
O3 0.0874 0.9382 0.4117
O4 0.0984 0.9416 0.9123
O5 0.1781 0.4170 0.0361
O6 0.1784 0.4175 0.5359
O7 0.3203 0.0973 0.7202
O8 0.3242 0.1056 0.2215
O9 0.4165 0.8193 0.0386
O10 0.4193 0.5702 0.8405
O11 0.4208 0.5825 0.3413
O12 0.4253 0.8230 0.5406

Principal peaks in the range 2θ = 5–70°, low angle first:
- (0 1 2), 22.88°, intensity 311
- (1 -2 0), 30.25°, intensity 978
- (1 1 2), 30.40°, intensity 856
- (2 0 -2), 30.53°, intensity 1000
- (0 1 -4), 30.66°, intensity 944
- (1 2 -2), 35.27°, intensity 424
- (0 3 2), 50.50°, intensity 339
- (-3 2 2), 50.71°, intensity 963
- (2 1 -6), 51.18°, intensity 340
- (1 3 -6), 60.55°, intensity 302

=====

Please write out number 3 again, unchanged.
Simulated powder X-ray diffraction pattern of Zr3Sc4O12 for CuKα, from the GGA-PBE geometry in Alexandria.
Neutral-atom scattering factors, no anomalous dispersion.

Cell and atoms:
a b c (Å): 6.2286 6.2641 12.3575
angles (deg): 99.35 99.38 99.79
Space group P-1 (No. 2)
Unique sites:
Zr1 0.0067 0.0044 0.2486
Zr2 0.1389 0.6125 0.9055
Zr3 0.3153 0.1413 0.5567
Sc1 0.1371 0.6045 0.4068
Sc2 0.3244 0.1419 0.0542
Sc3 0.3932 0.6812 0.1785
Sc4 0.3957 0.6748 0.6806
O1 0.0615 0.6837 0.1998
O2 0.0648 0.6732 0.7111
O3 0.0874 0.9382 0.4117
O4 0.0984 0.9416 0.9123
O5 0.1781 0.4170 0.0361
O6 0.1784 0.4175 0.5359
O7 0.3203 0.0973 0.7202
O8 0.3242 0.1056 0.2215
O9 0.4165 0.8193 0.0386
O10 0.4193 0.5702 0.8405
O11 0.4208 0.5825 0.3413
O12 0.4253 0.8230 0.5406

Principal peaks in the range 2θ = 5–70°, low angle first:
- (0 1 2), 22.88°, intensity 311
- (1 -2 0), 30.25°, intensity 978
- (1 1 2), 30.40°, intensity 856
- (2 0 -2), 30.53°, intensity 1000
- (0 1 -4), 30.66°, intensity 944
- (1 2 -2), 35.27°, intensity 424
- (0 3 2), 50.50°, intensity 339
- (-3 2 2), 50.71°, intensity 963
- (2 1 -6), 51.18°, intensity 340
- (1 3 -6), 60.55°, intensity 302